Entry 1:
Simulated PXRD pattern
Compound: SrLaDySnO6
Radiation: λ = 1.5418 Å (Cu Kα)
Structure: a cell relaxed with PBE

Structural model:
Lattice parameters (Å, degrees): 8.378 8.401 8.416 90.00 90.00 90.00
Fractional coordinates of all 40 atoms:
Sr 0.250 0.250 0.250
Sr 0.250 0.750 0.750
Sr 0.750 0.250 0.250
Sr 0.750 0.750 0.750
La 0.250 0.250 0.750
La 0.250 0.750 0.250
La 0.750 0.250 0.750
La 0.750 0.750 0.250
Dy 0.000 0.000 0.000
Dy 0.000 0.500 0.500
Dy 0.500 0.000 0.500
Dy 0.500 0.500 0.000
Sn 0.000 0.000 0.500
Sn 0.000 0.500 0.000
Sn 0.500 0.000 0.000
Sn 0.500 0.500 0.500
O 0.037 0.242 0.556
O 0.037 0.258 0.944
O 0.048 0.029 0.259
O 0.048 0.471 0.241
O 0.241 0.547 0.968
O 0.241 0.953 0.532
O 0.259 0.547 0.532
O 0.259 0.953 0.968
O 0.452 0.029 0.241
O 0.452 0.471 0.259
O 0.463 0.242 0.944
O 0.463 0.258 0.556
O 0.537 0.742 0.444
O 0.537 0.758 0.056
O 0.548 0.529 0.741
O 0.548 0.971 0.759
O 0.741 0.047 0.032
O 0.741 0.453 0.468
O 0.759 0.047 0.468
O 0.759 0.453 0.032
O 0.952 0.529 0.759
O 0.952 0.971 0.741
O 0.963 0.742 0.056
O 0.963 0.758 0.444

Top 6 peaks for 2θ = 10–90°, in order of rising 2θ:
two_theta	Rel. int.
30.1	100
43.0	18
53.4	30
53.5	15
62.5	11
86.7	12

***

Entry 2:
Simulated PXRD pattern
Compound: SrLaDySnO6
Radiation: λ = 1.5418 Å (Cu Kα)
Structure: a cell relaxed with PBE

Structural model:
Lattice parameters (Å, degrees): 5.971 5.971 5.971 60.00 60.00 60.00
Fractional coordinates of all 10 atoms:
Sr 0.000 0.000 0.000
La 0.500 0.500 0.500
Dy 0.750 0.750 0.750
Sn 0.250 0.250 0.250
O 0.008 0.008 0.492
O 0.008 0.492 0.008
O 0.008 0.492 0.492
O 0.492 0.008 0.008
O 0.492 0.008 0.492
O 0.492 0.492 0.008

Top 6 peaks for 2θ = 10–90°, in order of rising 2θ:
two_theta	Rel. int.
29.9	100
42.8	30
53.1	41
62.2	19
70.5	18
86.2	22

***

Entry 3:
Simulated PXRD pattern
Compound: La4Dy11S22
Radiation: λ = 1.5418 Å (Cu Kα)
Structure: a cell relaxed with PBE

Structural model:
Lattice parameters (Å, degrees): 19.830 19.830 11.428 91.67 91.67 11.55
Fractional coordinates of all 37 atoms:
La 0.104 0.104 0.012
La 0.367 0.367 0.347
La 0.633 0.633 0.653
La 0.896 0.896 0.988
Dy 0.000 0.000 0.000
Dy 0.069 0.069 0.360
Dy 0.202 0.202 0.942
Dy 0.264 0.264 0.352
Dy 0.342 0.342 0.699
Dy 0.462 0.462 0.271
Dy 0.538 0.538 0.729
Dy 0.658 0.658 0.301
Dy 0.736 0.736 0.648
Dy 0.798 0.798 0.058
Dy 0.931 0.931 0.640
S 0.008 0.008 0.239
S 0.087 0.087 0.752
S 0.135 0.135 0.453
S 0.168 0.168 0.152
S 0.189 0.189 0.691
S 0.255 0.255 0.119
S 0.280 0.280 0.590
S 0.350 0.350 0.091
S 0.407 0.407 0.788
S 0.445 0.445 0.495
S 0.453 0.453 0.031
S 0.547 0.547 0.969
S 0.555 0.555 0.505
S 0.593 0.593 0.212
S 0.650 0.650 0.909
S 0.720 0.720 0.410
S 0.745 0.745 0.881
S 0.811 0.811 0.309
S 0.832 0.832 0.848
S 0.865 0.865 0.547
S 0.913 0.913 0.248
S 0.992 0.992 0.761

Top 6 peaks for 2θ = 10–90°, in order of rising 2θ:
two_theta	Rel. int.
23.4	80
24.1	100
26.1	60
27.4	64
31.2	65
41.8	57

***

Entry 4:
Simulated PXRD pattern
Compound: Li3Dy
Radiation: λ = 1.5418 Å (Cu Kα)
Structure: a cell relaxed with PBE

Structural model:
Lattice parameters (Å, degrees): 6.517 6.517 5.095 90.00 90.00 120.00
Fractional coordinates of all 8 atoms:
Li 0.151 0.302 0.250
Li 0.151 0.849 0.250
Li 0.302 0.151 0.750
Li 0.698 0.849 0.250
Li 0.849 0.151 0.750
Li 0.849 0.698 0.750
Dy 0.333 0.667 0.750
Dy 0.667 0.333 0.250

Top 6 peaks for 2θ = 10–90°, in order of rising 2θ:
two_theta	Rel. int.
15.7	40
23.5	100
27.4	45
36.4	41
45.2	24
46.1	32